# IrPdPt
Calculated X-ray diffraction stick pattern, Cu Kα X-rays. Input: a crystal structure in Alexandria, relaxed with PBE.
Neutral-atom scattering factors, no anomalous dispersion.

Crystal structure
```
data_IrPdPt
_cell_length_a 8.7683
_cell_length_b 3.9273
_cell_length_c 5.5632
_cell_angle_alpha 90.00
_cell_angle_beta 108.75
_cell_angle_gamma 90.00
_symmetry_space_group_name_H-M 'C 1 2/m 1'
_symmetry_Int_Tables_number 12
_symmetry_space_group_name_Hall '-C 2y'
loop_
_atom_site_label
_atom_site_fract_x
_atom_site_fract_y
_atom_site_fract_z
Ir1 0.1646 0.0000 0.0728
Pd1 0.1680 0.0000 0.5823
Pt1 0.0023 0.5000 0.7547
```

Top 6 peaks for 2θ = 15–90°, by angle:
2θ 39.7, I = 100.0, hkl 1 1 -2
2θ 39.8, I = 99.5, hkl 3 1 0
2θ 46.2, I = 65.5, hkl 0 2 0
2θ 46.4, I = 32.0, hkl 2 0 2
2θ 67.4, I = 31.7, hkl 4 2 -2
2θ 81.3, I = 38.3, hkl 3 3 0

=====

# IrPd4Pt7
Calculated X-ray diffraction stick pattern, Cu Kα X-rays. Input: a crystal structure in Alexandria, relaxed with PBE.
Neutral-atom scattering factors, no anomalous dispersion.

Crystal structure
```
data_IrPd4Pt7
_cell_length_a 4.6593
_cell_length_b 4.6593
_cell_length_c 10.6950
_cell_angle_alpha 90.00
_cell_angle_beta 90.00
_cell_angle_gamma 120.00
_symmetry_space_group_name_H-M 'P 6/m m m'
_symmetry_Int_Tables_number 191
_symmetry_space_group_name_Hall '-P 6 2'
loop_
_atom_site_label
_atom_site_fract_x
_atom_site_fract_y
_atom_site_fract_z
Ir1 0.0000 0.0000 0.0000
Pd1 0.3333 0.6667 0.0000
Pd2 0.3333 0.6667 0.5000
Pt1 0.0000 0.0000 0.2403
Pt2 0.0000 0.0000 0.5000
Pt3 0.3333 0.6667 0.2503
```

Top 6 peaks for 2θ = 15–90°, by angle:
2θ 33.5, I = 48.9, hkl 0 0 4
2θ 38.6, I = 100.0, hkl 1 1 0
2θ 52.1, I = 84.5, hkl 1 1 4
2θ 69.9, I = 17.7, hkl 3 0 0
2θ 79.8, I = 24.4, hkl 3 0 4
2θ 83.3, I = 21.8, hkl 1 1 8